Record 1
Diffraction record for AcHo2. The powder diffraction line list is computed, not measured: it uses a DFT-relaxed cell (PBE, Alexandria) and Cu Kα (weighted mean of Kα1 and Kα2).

Cell and atoms:
```
data_AcHo2
_chemical_formula_sum 'Ac2 Ho4'
_symmetry_space_group_name_H-M 'I 4/m m m'
_symmetry_Int_Tables_number 139
_symmetry_space_group_name_Hall '-I 4 2'
_cell_length_a 3.7174
_cell_length_b 3.7174
_cell_length_c 15.3089
_cell_angle_alpha 90.00
_cell_angle_beta 90.00
_cell_angle_gamma 90.00
loop_
_atom_site_label
_atom_site_type_symbol
_atom_site_fract_x
_atom_site_fract_y
_atom_site_fract_z
Ac1 Ac 0.0000 0.0000 0.0000
Ho1 Ho 0.0000 0.0000 0.3267
```

Largest 8 diffraction maxima, by intensity, 10° ≤ 2θ ≤ 80°:
2θ = 29.7°, I 100, (1 0 3)
2θ = 34.1°, I 35, (1 1 0)
2θ = 58.4°, I 30, (2 1 3)
2θ = 49.8°, I 24, (1 1 6)
2θ = 35.2°, I 16, (0 0 6)
2θ = 59.8°, I 13, (1 0 9)
2θ = 49.0°, I 13, (2 0 0)
2θ = 61.7°, I 13, (2 0 6)

Record 2
Diffraction record for Co4Ni3Pt2. The powder diffraction line list is computed, not measured: it uses a DFT-relaxed cell (PBE, Alexandria) and Cu Kα (weighted mean of Kα1 and Kα2).

Cell and atoms:
```
data_Co4Ni3Pt2
_chemical_formula_sum 'Co16 Ni12 Pt8'
_symmetry_space_group_name_H-M 'C 1 2/c 1'
_symmetry_Int_Tables_number 15
_cell_length_a 8.7088
_cell_length_b 11.4331
_cell_length_c 4.6906
_cell_angle_alpha 90.00
_cell_angle_beta 102.26
_cell_angle_gamma 90.00
loop_
_symmetry_equiv_pos_as_xyz
'x,y,z'
'-x,-y,-z'
'-x,y,-z+1/2'
'x,-y,z+1/2'
'x+1/2,y+1/2,z'
'-x+1/2,-y+1/2,-z'
'-x+1/2,y+1/2,-z+1/2'
'x+1/2,-y+1/2,z+1/2'
loop_
_atom_site_label
_atom_site_type_symbol
_atom_site_fract_x
_atom_site_fract_y
_atom_site_fract_z
Co1 Co 0.0975 0.0756 0.4925
Co2 Co 0.1305 0.4865 0.6359
Ni1 Ni 0.0000 0.2948 0.7500
Ni2 Ni 0.1789 0.1265 0.0199
Pt1 Pt 0.1489 0.3042 0.3111
```

Largest 8 diffraction maxima, by intensity, 10° ≤ 2θ ≤ 80°:
2θ = 41.6°, I 100, (3 1 1)
2θ = 40.9°, I 92, (1 5 0)
2θ = 21.4°, I 83, (1 1 -1)
2θ = 42.5°, I 82, (4 0 0)
2θ = 45.5°, I 73, (1 3 -2)
2θ = 37.1°, I 56, (0 4 1)
2θ = 45.9°, I 56, (4 2 -1)
2θ = 15.5°, I 53, (0 2 0)